[1]
Starting from a structure optimized by DFT (GGA-PBE), the powder diffraction line list of Tm3CuO6 was calculated for Cu Ka.

Atomic structure:
```
data_Tm3CuO6
_chemical_formula_sum 'Tm12 Cu4 O24'
_symmetry_space_group_name_H-M 'C m c 21'
_symmetry_Int_Tables_number 36
_cell_length_a 8.738
_cell_length_b 10.789
_cell_length_c 5.373
_cell_angle_alpha 90.00
_cell_angle_beta 90.00
_cell_angle_gamma 90.00
loop_
_symmetry_equiv_pos_as_xyz
'x,y,z'
'-x,-y,z+1/2'
'-x,y,z'
'x,-y,z+1/2'
'x+1/2,y+1/2,z'
'-x+1/2,-y+1/2,z+1/2'
'-x+1/2,y+1/2,z'
'x+1/2,-y+1/2,z+1/2'
loop_
_atom_site_label
_atom_site_fract_x
_atom_site_fract_y
_atom_site_fract_z
Tm1 0.000 0.103 0.000
Tm2 0.199 0.388 0.054
Cu1 0.000 0.349 0.562
O1 0.000 0.278 0.236
O2 0.000 0.481 0.827
O3 0.152 0.248 0.751
O4 0.160 0.015 0.278
```

Peak list (10 most intense, 2θ from 15° to 90°, in order of falling intensity)
2theta  Rel. int.  hkl
31.16  100  2 2 1
31.64  21  1 3 1
47.79  21  0 4 2
33.35  18  0 0 2
33.22  16  0 4 0
46.77  15  3 1 2
21.09  15  1 1 1
61.44  14  5 3 1
58.24  14  2 2 3
52.81  13  3 5 0

---

[2]
Starting from a structure optimized by DFT (GGA-PBE), the powder diffraction line list of Tm2Cu2O5 was calculated for Cu Ka.

Atomic structure:
```
data_Tm2Cu2O5
_chemical_formula_sum 'Tm8 Cu8 O20'
_symmetry_space_group_name_H-M 'P n a 21'
_symmetry_Int_Tables_number 33
_cell_length_a 10.819
_cell_length_b 3.460
_cell_length_c 12.433
_cell_angle_alpha 90.00
_cell_angle_beta 90.00
_cell_angle_gamma 90.00
loop_
_symmetry_equiv_pos_as_xyz
'x,y,z'
'-x,-y,z+1/2'
'-x+1/2,y+1/2,z+1/2'
'x+1/2,-y+1/2,z'
loop_
_atom_site_label
_atom_site_fract_x
_atom_site_fract_y
_atom_site_fract_z
Tm1 0.042 0.224 0.000
Tm2 0.208 0.223 0.328
Cu1 0.011 0.340 0.718
Cu2 0.238 0.155 0.611
O1 0.071 0.276 0.565
O2 0.078 0.728 0.358
O3 0.125 0.334 0.164
O4 0.172 0.724 0.971
O5 0.179 0.219 0.763
```

Peak list (10 most intense, 2θ from 15° to 90°, in order of falling intensity)
2theta  Rel. int.  hkl
31.53  100  2 1 1
33.24  62  2 0 4
33.75  58  0 1 3
21.78  48  2 0 2
44.96  42  4 1 2
48.03  31  4 1 3
30.68  30  2 1 0
27.11  29  2 0 3
33.92  24  4 0 1
52.03  23  4 1 4